# 1
The following is a simulated X-ray powder pattern of Tm4As3S. It was derived from the GGA-PBE geometry in Alexandria, using Cu Kα (λ = 1.5418 Å).
Peak positions follow from Bragg's law for the DFT cell and can differ from measured ones.

Cell and atoms:
```
data_Tm4As3S
_chemical_formula_sum 'Tm8 As6 S2'
_space_group_name_H-M_alt 'I 4/m m m'
_space_group_IT_number 139
_space_group_name_Hall '-I 4 2'
_cell_length_a 5.6774
_cell_length_b 5.6774
_cell_length_c 11.3410
_cell_angle_alpha 90.00
_cell_angle_beta 90.00
_cell_angle_gamma 90.00
loop_
_atom_site_label
_atom_site_fract_x
_atom_site_fract_y
_atom_site_fract_z
Tm1 0.0000 0.0000 0.2504
Tm2 0.0000 0.5000 0.0000
As1 0.0000 0.0000 0.0000
As2 0.0000 0.5000 0.2500
S1 0.0000 0.0000 0.5000
```

Most intense lines, 2θ from 10° to 80°, sorted by position:
5.077 Å, I = 1, (1 0 1); 3.277 Å, I = 36, (1 1 2); 2.838 Å, I = 100, (2 0 0); 2.006 Å, I = 74, (2 2 0); 1.711 Å, I = 18, (3 1 2); 1.638 Å, I = 26, (2 2 4); 1.419 Å, I = 12, (4 0 0); 1.302 Å, I = 7, (3 3 2); 1.269 Å, I = 33, (4 2 0)


# 2
The following is a simulated X-ray powder pattern of Tm4AsS3. It was derived from the GGA-PBE geometry in Alexandria, using Cu Kα (λ = 1.5418 Å).
Peak positions follow from Bragg's law for the DFT cell and can differ from measured ones.

Cell and atoms:
```
data_Tm4AsS3
_chemical_formula_sum 'Tm4 As1 S3'
_space_group_name_H-M_alt 'P m -3 m'
_space_group_IT_number 221
_space_group_name_Hall '-P 4 2 3'
_cell_length_a 5.5148
_cell_length_b 5.5148
_cell_length_c 5.5148
_cell_angle_alpha 90.00
_cell_angle_beta 90.00
_cell_angle_gamma 90.00
loop_
_atom_site_label
_atom_site_fract_x
_atom_site_fract_y
_atom_site_fract_z
Tm1 0.0000 0.0000 0.0000
Tm2 0.0000 0.5000 0.5000
As1 0.5000 0.5000 0.5000
S1 0.0000 0.0000 0.5000
```

Most intense lines, 2θ from 10° to 80°, sorted by position:
5.515 Å, I = 1, (1 0 0); 3.900 Å, I = 1, (1 1 0); 3.184 Å, I = 65, (1 1 1); 2.757 Å, I = 100, (2 0 0); 1.950 Å, I = 73, (2 2 0); 1.663 Å, I = 32, (3 1 1); 1.592 Å, I = 25, (2 2 2); 1.379 Å, I = 12, (4 0 0); 1.265 Å, I = 13, (3 3 1); 1.233 Å, I = 33, (4 2 0)


# 3
The following is a simulated X-ray powder pattern of YTmAsS. It was derived from the GGA-PBE geometry in Alexandria, using Cu Kα (λ = 1.5418 Å).
Peak positions follow from Bragg's law for the DFT cell and can differ from measured ones.

Cell and atoms:
```
data_YTmAsS
_chemical_formula_sum 'Y3 Tm3 As3 S3'
_space_group_name_H-M_alt 'R 3 m'
_space_group_IT_number 160
_space_group_name_Hall 'R 3 -2"'
_cell_length_a 3.9304
_cell_length_b 3.9304
_cell_length_c 20.6942
_cell_angle_alpha 90.00
_cell_angle_beta 90.00
_cell_angle_gamma 120.00
loop_
_atom_site_label
_atom_site_fract_x
_atom_site_fract_y
_atom_site_fract_z
Y1 0.0000 0.0000 0.0000
Tm1 0.0000 0.0000 0.1740
As1 0.0000 0.0000 0.5840
S1 0.0000 0.0000 0.7570
```

Most intense lines, 2θ from 10° to 80°, sorted by position:
6.898 Å, I = 30, (0 0 3); 3.359 Å, I = 27, (1 0 1); 3.233 Å, I = 61, (0 1 2); 2.629 Å, I = 100, (0 1 5); 2.232 Å, I = 48, (1 0 7); 1.965 Å, I = 50, (1 1 0); 1.768 Å, I = 18, (1 0 10); 1.574 Å, I = 21, (2 0 5); 1.296 Å, I = 23, (1 1 12); 1.229 Å, I = 18, (1 2 5)


Please write out number 3 again, unchanged.
The following is a simulated X-ray powder pattern of YTmAsS. It was derived from the GGA-PBE geometry in Alexandria, using Cu Kα (λ = 1.5418 Å).
Peak positions follow from Bragg's law for the DFT cell and can differ from measured ones.

Cell and atoms:
```
data_YTmAsS
_chemical_formula_sum 'Y3 Tm3 As3 S3'
_space_group_name_H-M_alt 'R 3 m'
_space_group_IT_number 160
_space_group_name_Hall 'R 3 -2"'
_cell_length_a 3.9304
_cell_length_b 3.9304
_cell_length_c 20.6942
_cell_angle_alpha 90.00
_cell_angle_beta 90.00
_cell_angle_gamma 120.00
loop_
_atom_site_label
_atom_site_fract_x
_atom_site_fract_y
_atom_site_fract_z
Y1 0.0000 0.0000 0.0000
Tm1 0.0000 0.0000 0.1740
As1 0.0000 0.0000 0.5840
S1 0.0000 0.0000 0.7570
```

Most intense lines, 2θ from 10° to 80°, sorted by position:
6.898 Å, I = 30, (0 0 3); 3.359 Å, I = 27, (1 0 1); 3.233 Å, I = 61, (0 1 2); 2.629 Å, I = 100, (0 1 5); 2.232 Å, I = 48, (1 0 7); 1.965 Å, I = 50, (1 1 0); 1.768 Å, I = 18, (1 0 10); 1.574 Å, I = 21, (2 0 5); 1.296 Å, I = 23, (1 1 12); 1.229 Å, I = 18, (1 2 5)


Copy entry 3 word for word.
The following is a simulated X-ray powder pattern of YTmAsS. It was derived from the GGA-PBE geometry in Alexandria, using Cu Kα (λ = 1.5418 Å).
Peak positions follow from Bragg's law for the DFT cell and can differ from measured ones.

Cell and atoms:
```
data_YTmAsS
_chemical_formula_sum 'Y3 Tm3 As3 S3'
_space_group_name_H-M_alt 'R 3 m'
_space_group_IT_number 160
_space_group_name_Hall 'R 3 -2"'
_cell_length_a 3.9304
_cell_length_b 3.9304
_cell_length_c 20.6942
_cell_angle_alpha 90.00
_cell_angle_beta 90.00
_cell_angle_gamma 120.00
loop_
_atom_site_label
_atom_site_fract_x
_atom_site_fract_y
_atom_site_fract_z
Y1 0.0000 0.0000 0.0000
Tm1 0.0000 0.0000 0.1740
As1 0.0000 0.0000 0.5840
S1 0.0000 0.0000 0.7570
```

Most intense lines, 2θ from 10° to 80°, sorted by position:
6.898 Å, I = 30, (0 0 3); 3.359 Å, I = 27, (1 0 1); 3.233 Å, I = 61, (0 1 2); 2.629 Å, I = 100, (0 1 5); 2.232 Å, I = 48, (1 0 7); 1.965 Å, I = 50, (1 1 0); 1.768 Å, I = 18, (1 0 10); 1.574 Å, I = 21, (2 0 5); 1.296 Å, I = 23, (1 1 12); 1.229 Å, I = 18, (1 2 5)